Record 1
Structure and calculated X-ray diffraction stick pattern of Nd2SiTeO4 (a crystal structure in OQMD, relaxed with PBE; Cu Kα).

Most intense lines, 5 to 70 degrees two-theta, low angle first:
2θ = 26.4°, intensity 1000
2θ = 27.8°, intensity 628
2θ = 28.6°, intensity 721
2θ = 29.6°, intensity 623
2θ = 31.9°, intensity 731
2θ = 47.2°, intensity 524

Cell and atoms:
Cell lengths 9.799, 6.429, 8.708 Å; angles 90.00, 94.62, 90.00 degrees
Atoms (fractional coordinates):
Nd  0.107  0.152  0.193
Nd  0.107  0.348  0.693
Nd  0.350  0.696  0.335
Nd  0.350  0.804  0.835
Nd  0.650  0.196  0.165
Nd  0.650  0.304  0.665
Nd  0.893  0.652  0.307
Nd  0.893  0.848  0.807
Si  0.126  0.691  0.057
Si  0.126  0.809  0.557
Si  0.874  0.191  0.443
Si  0.874  0.309  0.943
Te  0.405  0.213  0.387
Te  0.405  0.287  0.887
Te  0.595  0.713  0.113
Te  0.595  0.787  0.613
O  0.020  0.192  0.921
O  0.020  0.308  0.421
O  0.126  0.632  0.875
O  0.126  0.868  0.375
O  0.157  0.510  0.186
O  0.157  0.990  0.686
O  0.251  0.638  0.590
O  0.251  0.862  0.090
O  0.749  0.138  0.910
O  0.749  0.362  0.410
O  0.843  0.010  0.314
O  0.843  0.490  0.814
O  0.874  0.132  0.625
O  0.874  0.368  0.125
O  0.980  0.692  0.579
O  0.980  0.808  0.079

Record 2
Structure and calculated X-ray diffraction stick pattern of Nd2Sn2O7 (a crystal structure in OQMD, relaxed with PBE; Cu Kα).

Most intense lines, 5 to 70 degrees two-theta, low angle first:
2θ = 29.2°, intensity 1000
2θ = 33.8°, intensity 333
2θ = 36.9°, intensity 21
2θ = 48.5°, intensity 485
2θ = 57.6°, intensity 450
2θ = 60.4°, intensity 105

Cell and atoms:
Cell lengths 7.503, 7.503, 7.503 Å; angles 60.00, 60.00, 60.00 degrees
Atoms (fractional coordinates):
Nd  0.000  0.000  0.000
Nd  0.000  0.000  0.500
Nd  0.000  0.500  0.000
Nd  0.500  0.000  0.000
Sn  0.000  0.500  0.500
Sn  0.500  0.000  0.500
Sn  0.500  0.500  0.000
Sn  0.500  0.500  0.500
O  0.125  0.125  0.125
O  0.165  0.165  0.585
O  0.165  0.585  0.165
O  0.165  0.585  0.585
O  0.415  0.415  0.835
O  0.415  0.835  0.415
O  0.415  0.835  0.835
O  0.585  0.165  0.165
O  0.585  0.165  0.585
O  0.585  0.585  0.165
O  0.835  0.415  0.415
O  0.835  0.415  0.835
O  0.835  0.835  0.415
O  0.875  0.875  0.875

Record 3
Structure and calculated X-ray diffraction stick pattern of SrNd2O2 (a crystal structure in OQMD, relaxed with PBE; Cu Kα).

Most intense lines, 5 to 70 degrees two-theta, low angle first:
2θ = 27.8°, intensity 576
2θ = 28.6°, intensity 443
2θ = 28.8°, intensity 978
2θ = 40.3°, intensity 371
2θ = 40.5°, intensity 1000
2θ = 41.2°, intensity 247

Cell and atoms:
Cell lengths 6.245, 10.699, 3.209 Å; angles 90.00, 90.00, 90.00 degrees
Atoms (fractional coordinates):
Sr  0.000  0.000  0.000
Sr  0.500  0.500  0.000
Nd  0.053  0.320  0.000
Nd  0.447  0.820  0.000
Nd  0.553  0.180  0.000
Nd  0.947  0.680  0.000
O  0.135  0.822  0.500
O  0.365  0.322  0.500
O  0.635  0.678  0.500
O  0.865  0.178  0.500

Record 4
Structure and calculated X-ray diffraction stick pattern of SrNdO3 (a crystal structure in OQMD, relaxed with PBE; Cu Kα).

Most intense lines, 5 to 70 degrees two-theta, low angle first:
2θ = 28.0°, intensity 1000
2θ = 29.0°, intensity 947
2θ = 40.8°, intensity 449
2θ = 45.2°, intensity 258
2θ = 50.8°, intensity 452
2θ = 51.4°, intensity 299

Cell and atoms:
Cell lengths 6.374, 6.374, 6.374 Å; angles 57.77, 57.77, 57.77 degrees
Atoms (fractional coordinates):
Sr  0.136  0.136  0.136
Sr  0.864  0.864  0.864
Nd  0.358  0.358  0.358
Nd  0.642  0.642  0.642
O  0.038  0.474  0.727
O  0.273  0.962  0.526
O  0.474  0.727  0.038
O  0.526  0.273  0.962
O  0.727  0.038  0.474
O  0.962  0.526  0.273

Record 5
Structure and calculated X-ray diffraction stick pattern of NdTa7O19 (a crystal structure in OQMD, relaxed with PBE; Cu Kα).

Most intense lines, 5 to 70 degrees two-theta, low angle first:
2θ = 26.8°, intensity 646
2θ = 29.0°, intensity 1000
2θ = 30.1°, intensity 410
2θ = 33.9°, intensity 497
2θ = 36.6°, intensity 505
2θ = 50.8°, intensity 395

Cell and atoms:
Cell lengths 6.228, 6.228, 19.969 Å; angles 90.00, 90.00, 120.00 degrees
Atoms (fractional coordinates):
Nd  0.000  0.000  0.000
Nd  0.000  0.000  0.500
Ta  0.028  0.333  0.156
Ta  0.028  0.333  0.344
Ta  0.028  0.694  0.656
Ta  0.028  0.694  0.844
Ta  0.306  0.333  0.656
Ta  0.306  0.333  0.844
Ta  0.306  0.972  0.156
Ta  0.306  0.972  0.344
Ta  0.333  0.667  0.000
Ta  0.333  0.667  0.500
Ta  0.667  0.694  0.156
Ta  0.667  0.694  0.344
Ta  0.667  0.972  0.656
Ta  0.667  0.972  0.844
O  0.000  0.000  0.130
O  0.000  0.000  0.370
O  0.000  0.000  0.630
O  0.000  0.000  0.870
O  0.042  0.284  0.250
O  0.042  0.758  0.750
O  0.092  0.385  0.056
O  0.092  0.385  0.444
O  0.092  0.707  0.556
O  0.092  0.707  0.944
O  0.242  0.284  0.750
O  0.242  0.958  0.250
O  0.293  0.385  0.556
O  0.293  0.385  0.944
O  0.293  0.908  0.056
O  0.293  0.908  0.444
O  0.333  0.667  0.169
O  0.333  0.667  0.331
O  0.333  0.667  0.669
O  0.333  0.667  0.831
O  0.419  0.085  0.653
O  0.419  0.085  0.847
O  0.419  0.333  0.153
O  0.419  0.333  0.347
O  0.615  0.707  0.056
O  0.615  0.707  0.444
O  0.615  0.908  0.556
O  0.615  0.908  0.944
O  0.667  0.085  0.153
O  0.667  0.085  0.347
O  0.667  0.581  0.653
O  0.667  0.581  0.847
O  0.716  0.758  0.250
O  0.716  0.958  0.750
O  0.915  0.333  0.653
O  0.915  0.333  0.847
O  0.915  0.581  0.153
O  0.915  0.581  0.347

Record 6
Structure and calculated X-ray diffraction stick pattern of NdTaO4 (a crystal structure in OQMD, relaxed with PBE; Cu Kα).

Most intense lines, 5 to 70 degrees two-theta, low angle first:
2θ = 28.6°, intensity 732
2θ = 29.0°, intensity 1000
2θ = 29.4°, intensity 308
2θ = 32.7°, intensity 320
2θ = 49.9°, intensity 233
2θ = 58.4°, intensity 198

Cell and atoms:
Cell lengths 7.571, 5.470, 7.709 Å; angles 90.00, 99.82, 90.00 degrees
Atoms (fractional coordinates):
Nd  0.152  0.224  0.400
Nd  0.152  0.276  0.900
Nd  0.848  0.724  0.100
Nd  0.848  0.776  0.600
Ta  0.334  0.731  0.196
Ta  0.334  0.769  0.696
Ta  0.666  0.231  0.304
Ta  0.666  0.269  0.804
O  0.115  0.511  0.169
O  0.115  0.989  0.669
O  0.166  0.510  0.629
O  0.166  0.990  0.129
O  0.335  0.646  0.944
O  0.335  0.854  0.444
O  0.439  0.094  0.803
O  0.439  0.406  0.303
O  0.561  0.594  0.697
O  0.561  0.906  0.197
O  0.665  0.146  0.556
O  0.665  0.354  0.056
O  0.834  0.010  0.871
O  0.834  0.490  0.371
O  0.885  0.011  0.331
O  0.885  0.489  0.831